(1)
Structure and calculated X-ray powder pattern of Zr2Co5P3 (a structure optimized by DFT (GGA-PBE); Cu Kα, 1.54184 Å).
No peak broadening, texture or thermal motion is included.

Principal peaks in the range 5° ≤ 2θ ≤ 70°, by intensity:
2θ = 39.72°, intensity 1000; 2θ = 40.06°, intensity 722; 2θ = 48.84°, intensity 387; 2θ = 43.29°, intensity 320; 2θ = 37.91°, intensity 312; 2θ = 44.02°, intensity 289

Atomic structure:
```
Zr2Co5P3
1.0
1.865 -11.099 0.000
1.865 11.099 0.000
0.000 0.000 6.200
Zr Co P
4 10 6
Cartesian
1.865 10.584 3.100 Zr
1.865 3.903 2.968 Zr
1.865 -3.903 6.068 Zr
1.865 -10.584 0.000 Zr
1.865 8.946 0.809 Co
1.865 6.455 1.652 Co
1.865 6.433 4.131 Co
1.865 2.889 5.989 Co
1.865 1.285 2.078 Co
1.865 -1.285 5.178 Co
1.865 -2.889 2.889 Co
1.865 -6.433 1.031 Co
1.865 -6.455 4.752 Co
1.865 -8.946 3.909 Co
1.865 8.585 4.693 P
1.865 5.156 5.994 P
1.865 1.033 4.380 P
1.865 -1.033 1.280 P
1.865 -5.156 2.894 P
1.865 -8.585 1.593 P
```


(2)
Structure and calculated X-ray powder pattern of ZrCo6P6 (a structure optimized by DFT (GGA-PBE); Cu Kα, 1.54184 Å).
No peak broadening, texture or thermal motion is included.

Principal peaks in the range 5° ≤ 2θ ≤ 70°, by intensity:
2θ = 41.77°, intensity 1000; 2θ = 44.12°, intensity 762; 2θ = 49.13°, intensity 723; 2θ = 32.34°, intensity 323; 2θ = 67.69°, intensity 249; 2θ = 50.68°, intensity 244

Atomic structure:
```
ZrCo6P6
1.0
4.994 0.000 0.000
-2.497 4.325 0.000
0.000 0.000 7.206
Zr Co P
1 6 6
Cartesian
0.000 0.000 0.000 Zr
-1.249 2.163 1.862 Co
-1.249 2.163 5.344 Co
2.497 0.000 1.862 Co
2.497 0.000 5.344 Co
1.249 2.163 1.862 Co
1.249 2.163 5.344 Co
0.000 0.000 2.462 P
0.000 0.000 4.743 P
0.000 2.884 0.000 P
0.000 2.884 3.603 P
2.497 1.442 0.000 P
2.497 1.442 3.603 P
```